(1)
Structure and simulated X-ray powder pattern of LiTaRu2 (a cell relaxed with PBE; Cu Kα).

Structure:
abc: 4.3276 4.3276 4.3276
angles: 60.00 60.00 60.00
Fractional positions:
Li: 0.0000 0.0000 0.0000
Ta: 0.5000 0.5000 0.5000
Ru: 0.2500 0.2500 0.2500
Ru: 0.7500 0.7500 0.7500

Main lines, low angle first (2θ = 10–80°):
2θ (°)  d_spacing  Rel. int.
25.20  3.533  50
29.18  3.060  1
41.74  2.164  100
49.39  1.845  25
60.51  1.530  17
66.61  1.404  10
76.21  1.249  34

(2)
Structure and simulated X-ray powder pattern of LiRu2W (a cell relaxed with PBE; Cu Kα).

Structure:
abc: 4.2813 4.2813 4.2813
angles: 60.00 60.00 60.00
Fractional positions:
Li: 0.0000 0.0000 0.0000
Ru: 0.2500 0.2500 0.2500
Ru: 0.7500 0.7500 0.7500
W: 0.5000 0.5000 0.5000

Main lines, low angle first (2θ = 10–80°):
2θ (°)  d_spacing  Rel. int.
25.48  3.496  51
42.22  2.141  100
49.96  1.826  25
61.24  1.514  17
67.42  1.389  10
77.18  1.236  34

(3)
Structure and simulated X-ray powder pattern of LiY2Ru (a cell relaxed with PBE; Cu Kα).

Structure:
abc: 4.9153 4.9153 4.9153
angles: 60.00 60.00 60.00
Fractional positions:
Li: 0.0000 0.0000 0.0000
Y: 0.2500 0.2500 0.2500
Y: 0.7500 0.7500 0.7500
Ru: 0.5000 0.5000 0.5000

Main lines, low angle first (2θ = 10–80°):
2θ (°)  d_spacing  Rel. int.
22.15  4.013  28
25.63  3.476  8
36.56  2.458  100
43.16  2.096  14
45.19  2.007  2
52.67  1.738  17
57.82  1.595  6
59.47  1.554  3
65.82  1.419  34
70.38  1.338  4
77.71  1.229  10

Question: Which formula does entry 1 have?
Answer: LiTaRu2

Copy entry 1 word for word.
Structure and simulated X-ray powder pattern of LiTaRu2 (a cell relaxed with PBE; Cu Kα).

Structure:
abc: 4.3276 4.3276 4.3276
angles: 60.00 60.00 60.00
Fractional positions:
Li: 0.0000 0.0000 0.0000
Ta: 0.5000 0.5000 0.5000
Ru: 0.2500 0.2500 0.2500
Ru: 0.7500 0.7500 0.7500

Main lines, low angle first (2θ = 10–80°):
2θ (°)  d_spacing  Rel. int.
25.20  3.533  50
29.18  3.060  1
41.74  2.164  100
49.39  1.845  25
60.51  1.530  17
66.61  1.404  10
76.21  1.249  34